Computed powder diffraction line list
Compound: Tb2Pm5Pr2
Radiation: CuKα
Structure: a crystal structure in Alexandria, relaxed with PBE

Structural model:
```
data_Tb2Pm5Pr2
_chemical_formula_sum 'Tb2 Pm5 Pr2'
_cell_length_a 8.939
_cell_length_b 3.617
_cell_length_c 9.876
_cell_angle_alpha 90.00
_cell_angle_beta 103.49
_cell_angle_gamma 90.00
_symmetry_space_group_name_H-M 'P 1 2/m 1'
_symmetry_Int_Tables_number 10
_symmetry_space_group_name_Hall '-P 2y'
loop_
_atom_site_label
_atom_site_type_symbol
_atom_site_fract_x
_atom_site_fract_y
_atom_site_fract_z
_atom_site_occupancy
Tb1 Tb 0.164 0.000 0.112 1
Pm1 Pm 0.147 0.500 0.788 1
Pm2 Pm 0.183 0.000 0.463 1
Pm3 Pm 0.500 0.000 0.000 1
Pr1 Pr 0.476 0.500 0.318 1
```

Peak list (8 most intense, 2θ = 10–80°, in order of rising 2θ)
d (Å), I/Imax
3.070, 65
2.924, 94
2.898, 91
2.889, 89
2.800, 80
2.783, 100
1.916, 37
1.538, 27

=====

Computed powder diffraction line list
Compound: DyEr2Sc7
Radiation: CuKα
Structure: a crystal structure in Alexandria, relaxed with PBE

Structural model:
```
data_DyEr2Sc7
_chemical_formula_sum 'Dy2 Er4 Sc14'
_cell_length_a 7.447
_cell_length_b 17.143
_cell_length_c 4.975
_cell_angle_alpha 90.00
_cell_angle_beta 90.00
_cell_angle_gamma 90.00
_symmetry_space_group_name_H-M 'C m m m'
_symmetry_Int_Tables_number 65
_symmetry_space_group_name_Hall '-C 2 2'
loop_
_atom_site_label
_atom_site_type_symbol
_atom_site_fract_x
_atom_site_fract_y
_atom_site_fract_z
_atom_site_occupancy
Dy1 Dy 0.000 0.000 0.000 1
Er1 Er 0.000 0.263 0.500 1
Sc1 Sc 0.000 0.408 0.000 1
Sc2 Sc 0.000 0.500 0.500 1
Sc3 Sc 0.197 0.097 0.500 1
```

Peak list (8 most intense, 2θ = 10–80°, in order of rising 2θ)
d (Å), I/Imax
4.975, 23
4.299, 73
3.723, 28
2.814, 100
2.640, 46
2.488, 26
2.447, 21
1.863, 35

=====

Computed powder diffraction line list
Compound: Li2LaRh
Radiation: CuKα
Structure: a crystal structure in Alexandria, relaxed with PBE

Structural model:
```
data_Li2LaRh
_chemical_formula_sum 'Li8 La4 Rh4'
_cell_length_a 6.601
_cell_length_b 6.601
_cell_length_c 6.601
_cell_angle_alpha 90.00
_cell_angle_beta 90.00
_cell_angle_gamma 90.00
_symmetry_space_group_name_H-M 'F m -3 m'
_symmetry_Int_Tables_number 225
_symmetry_space_group_name_Hall '-F 4 2 3'
loop_
_atom_site_label
_atom_site_type_symbol
_atom_site_fract_x
_atom_site_fract_y
_atom_site_fract_z
_atom_site_occupancy
Li1 Li 0.250 0.250 0.250 1
La1 La 0.000 0.000 0.000 1
Rh1 Rh 0.000 0.000 0.500 1
```

Peak list (8 most intense, 2θ = 10–80°, in order of rising 2θ)
d (Å), I/Imax
3.811, 3
3.301, 100
2.334, 91
1.990, 2
1.906, 28
1.650, 16
1.476, 36
1.348, 31

=====

Computed powder diffraction line list
Compound: NaLaTc
Radiation: CuKα
Structure: a crystal structure in Alexandria, relaxed with PBE

Structural model:
```
data_NaLaTc
_chemical_formula_sum 'Na6 La6 Tc6'
_cell_length_a 4.1341
_cell_length_b 4.1341
_cell_length_c 41.0079
_cell_angle_alpha 90.00
_cell_angle_beta 90.00
_cell_angle_gamma 120.00
_symmetry_space_group_name_H-M 'R 3 m'
_symmetry_Int_Tables_number 160
_symmetry_space_group_name_Hall 'R 3 -2"'
loop_
_atom_site_label
_atom_site_type_symbol
_atom_site_fract_x
_atom_site_fract_y
_atom_site_fract_z
_atom_site_occupancy
Na1 Na 0.0000 0.0000 0.0000 1
Na2 Na 0.0000 0.0000 0.2625 1
La1 La 0.0000 0.0000 0.4130 1
La2 La 0.0000 0.0000 0.5159 1
Tc1 Tc 0.0000 0.0000 0.1233 1
Tc2 Tc 0.0000 0.0000 0.8053 1
```

Peak list (8 most intense, 2θ = 10–80°, in order of rising 2θ)
d (Å), I/Imax
3.055, 92
2.935, 55
2.697, 100
2.582, 25
2.367, 35
2.067, 67
2.044, 47
1.641, 22

=====

Computed powder diffraction line list
Compound: Tb8PrTm6
Radiation: CuKα
Structure: a crystal structure in Alexandria, relaxed with PBE

Structural model:
```
data_Tb8PrTm6
_chemical_formula_sum 'Tb24 Pr3 Tm18'
_cell_length_a 8.9768
_cell_length_b 8.9768
_cell_length_c 20.5856
_cell_angle_alpha 90.00
_cell_angle_beta 90.00
_cell_angle_gamma 120.00
_symmetry_space_group_name_H-M 'R -3'
_symmetry_Int_Tables_number 148
_symmetry_space_group_name_Hall '-R 3'
loop_
_atom_site_label
_atom_site_type_symbol
_atom_site_fract_x
_atom_site_fract_y
_atom_site_fract_z
_atom_site_occupancy
Tb1 Tb 0.0000 0.0000 0.0768 1
Tb2 Tb 0.0809 0.5544 0.3078 1
Pr1 Pr 0.0000 0.0000 0.5000 1
Tm1 Tm 0.0524 0.2429 0.2065 1
```

Peak list (8 most intense, 2θ = 10–80°, in order of rising 2θ)
d (Å), I/Imax
2.909, 24
2.826, 100
2.751, 30
2.726, 11
2.552, 12
2.424, 13
1.715, 12
1.686, 10

=====

Computed powder diffraction line list
Compound: AcMgTe
Radiation: CuKα
Structure: a crystal structure in Alexandria, relaxed with PBE

Structural model:
```
data_AcMgTe
_chemical_formula_sum 'Ac2 Mg2 Te2'
_cell_length_a 6.164
_cell_length_b 4.517
_cell_length_c 7.968
_cell_angle_alpha 90.00
_cell_angle_beta 112.70
_cell_angle_gamma 90.00
_symmetry_space_group_name_H-M 'P 1 21/m 1'
_symmetry_Int_Tables_number 11
_symmetry_space_group_name_Hall '-P 2yb'
loop_
_atom_site_label
_atom_site_type_symbol
_atom_site_fract_x
_atom_site_fract_y
_atom_site_fract_z
_atom_site_occupancy
Ac1 Ac 0.119 0.250 0.237 1
Mg1 Mg 0.430 0.250 0.862 1
Te1 Te 0.294 0.750 0.587 1
```

Peak list (8 most intense, 2θ = 10–80°, in order of rising 2θ)
d (Å), I/Imax
5.685, 32
3.848, 90
3.082, 49
2.924, 100
2.654, 41
2.406, 51
1.821, 39
1.720, 23